[1]
Starting from DFT lattice parameters and positions (PBE), the PXRD pattern of Mg4Tl2Pb5 was simulated for λ = 1.5418 Å (Cu Kα).
Lines closer than 0.1° are merged.

Cell and atoms:
a b c (Å): 7.3150 7.3150 9.7509
angles (deg): 126.13 126.13 54.31
Fractional coordinates of all 11 atoms:
Mg  0.1537  0.1537  0.3991
Mg  0.2112  0.2112  0.9678
Mg  0.7888  0.7888  0.0322
Mg  0.8463  0.8463  0.6009
Tl  0.4687  0.4687  0.7805
Tl  0.5313  0.5313  0.2195
Pb  0.0000  0.0000  0.0000
Pb  0.0837  0.5741  0.3249
Pb  0.4259  0.9163  0.6751
Pb  0.5741  0.0837  0.3249
Pb  0.9163  0.4259  0.6751

Principal peaks in the range 15 to 90 degrees two-theta, in order of falling intensity:
2θ 30.03, rel. 100; 2θ 32.54, rel. 94; 2θ 18.32, rel. 38; 2θ 34.20, rel. 32; 2θ 23.65, rel. 29; 2θ 27.94, rel. 28; 2θ 29.42, rel. 28; 2θ 46.13, rel. 26



[2]
Starting from DFT lattice parameters and positions (PBE), the PXRD pattern of Mg8Tl6Pb was simulated for λ = 1.5418 Å (Cu Kα).
Lines closer than 0.1° are merged.

Cell and atoms:
a b c (Å): 8.1189 8.1189 8.1189
angles (deg): 62.00 62.00 62.00
Fractional coordinates of all 15 atoms:
Mg  0.1380  0.6147  0.3851
Mg  0.2446  0.2446  0.2446
Mg  0.3851  0.1380  0.6147
Mg  0.3853  0.6149  0.8620
Mg  0.6147  0.3851  0.1380
Mg  0.6149  0.8620  0.3853
Mg  0.7554  0.7554  0.7554
Mg  0.8620  0.3853  0.6149
Tl  0.0712  0.3560  0.8823
Tl  0.1177  0.9288  0.6440
Tl  0.3560  0.8823  0.0712
Tl  0.6440  0.1177  0.9288
Tl  0.8823  0.0712  0.3560
Tl  0.9288  0.6440  0.1177
Pb  0.5000  0.5000  0.5000

Principal peaks in the range 15 to 90 degrees two-theta, in order of falling intensity:
2θ 34.00, rel. 100; 2θ 25.29, rel. 85; 2θ 37.65, rel. 80; 2θ 25.01, rel. 58; 2θ 34.87, rel. 54; 2θ 25.86, rel. 42; 2θ 33.04, rel. 32; 2θ 46.41, rel. 27



[3]
Starting from DFT lattice parameters and positions (PBE), the PXRD pattern of MgTlPb2 was simulated for λ = 1.5418 Å (Cu Kα).
Lines closer than 0.1° are merged.

Cell and atoms:
a b c (Å): 3.6742 5.8116 10.8949
angles (deg): 90.00 90.00 90.00
Fractional coordinates of all 8 atoms:
Mg  0.0000  0.0000  0.0000
Mg  0.5000  0.5000  0.0000
Tl  0.0000  0.5000  0.7713
Tl  0.5000  0.0000  0.7713
Pb  0.0000  0.0000  0.5062
Pb  0.0000  0.5000  0.2325
Pb  0.5000  0.0000  0.2325
Pb  0.5000  0.5000  0.5062

Principal peaks in the range 15 to 90 degrees two-theta, in order of falling intensity:
2θ 33.21, rel. 100; 2θ 30.77, rel. 32; 2θ 56.28, rel. 23; 2θ 32.88, rel. 23; 2θ 45.65, rel. 19; 2θ 29.92, rel. 18; 2θ 58.92, rel. 14; 2θ 24.51, rel. 14



[4]
Starting from DFT lattice parameters and positions (PBE), the PXRD pattern of TmMgPb3 was simulated for λ = 1.5418 Å (Cu Kα).
Lines closer than 0.1° are merged.

Cell and atoms:
a b c (Å): 7.9799 8.7128 8.3928
angles (deg): 90.00 90.00 90.00
Fractional coordinates of all 20 atoms:
Tm  0.0000  0.0000  0.0000
Tm  0.0000  0.5000  0.0000
Tm  0.5000  0.0000  0.5000
Tm  0.5000  0.5000  0.5000
Mg  0.1822  0.2500  0.4111
Mg  0.3178  0.7500  0.9111
Mg  0.6822  0.2500  0.0889
Mg  0.8178  0.7500  0.5889
Pb  0.1335  0.5476  0.6467
Pb  0.1335  0.9524  0.6467
Pb  0.1674  0.7500  0.3029
Pb  0.3326  0.2500  0.8029
Pb  0.3665  0.0476  0.1467
Pb  0.3665  0.4524  0.1467
Pb  0.6335  0.5476  0.8533
Pb  0.6335  0.9524  0.8533
Pb  0.6674  0.7500  0.1971
Pb  0.8326  0.2500  0.6971
Pb  0.8665  0.0476  0.3533
Pb  0.8665  0.4524  0.3533

Principal peaks in the range 15 to 90 degrees two-theta, in order of falling intensity:
2θ 32.24, rel. 100; 2θ 31.66, rel. 74; 2θ 32.63, rel. 62; 2θ 33.96, rel. 57; 2θ 35.40, rel. 41; 2θ 24.54, rel. 38; 2θ 20.39, rel. 29; 2θ 39.92, rel. 28



[5]
Starting from DFT lattice parameters and positions (PBE), the PXRD pattern of Tm3MgPb4 was simulated for λ = 1.5418 Å (Cu Kα).
Lines closer than 0.1° are merged.

Cell and atoms:
a b c (Å): 10.2022 6.6784 6.4526
angles (deg): 90.00 90.00 90.00
Fractional coordinates of all 16 atoms:
Tm  0.0000  0.0132  0.0000
Tm  0.2490  0.7211  0.7575
Tm  0.2510  0.2789  0.2575
Tm  0.5000  0.9868  0.5000
Tm  0.7490  0.2789  0.2575
Tm  0.7510  0.7211  0.7575
Mg  0.0000  0.5104  0.0192
Mg  0.5000  0.4896  0.5192
Pb  0.0000  0.9998  0.5030
Pb  0.0000  0.4962  0.5177
Pb  0.2458  0.7776  0.2553
Pb  0.2542  0.2224  0.7553
Pb  0.5000  0.0002  0.0030
Pb  0.5000  0.5038  0.0177
Pb  0.7458  0.2224  0.7553
Pb  0.7542  0.7776  0.2553

Principal peaks in the range 15 to 90 degrees two-theta, in order of falling intensity:
2θ 32.85, rel. 100; 2θ 32.04, rel. 100; 2θ 38.81, rel. 60; 2θ 53.38, rel. 48; 2θ 35.19, rel. 42; 2θ 66.99, rel. 34; 2θ 87.23, rel. 23; 2θ 65.56, rel. 21



[6]
Starting from DFT lattice parameters and positions (PBE), the PXRD pattern of TmMgPb6 was simulated for λ = 1.5418 Å (Cu Kα).
Lines closer than 0.1° are merged.

Cell and atoms:
a b c (Å): 4.7641 4.7641 10.1953
angles (deg): 90.00 90.00 90.00
Fractional coordinates of all 8 atoms:
Tm  0.0000  0.0000  0.0000
Mg  0.0000  0.0000  0.5000
Pb  0.0000  0.5000  0.2503
Pb  0.0000  0.5000  0.7497
Pb  0.5000  0.0000  0.2503
Pb  0.5000  0.0000  0.7497
Pb  0.5000  0.5000  0.0000
Pb  0.5000  0.5000  0.5000

Principal peaks in the range 15 to 90 degrees two-theta, in order of falling intensity:
2θ 31.84, rel. 100; 2θ 37.77, rel. 32; 2θ 64.50, rel. 27; 2θ 52.59, rel. 25; 2θ 35.21, rel. 19; 2θ 61.08, rel. 16; 2θ 86.30, rel. 13; 2θ 66.54, rel. 13



[7]
Starting from DFT lattice parameters and positions (PBE), the PXRD pattern of Tm6Mg5Pb was simulated for λ = 1.5418 Å (Cu Kα).
Lines closer than 0.1° are merged.

Cell and atoms:
a b c (Å): 8.4273 8.4273 7.4353
angles (deg): 90.00 90.00 143.26
Fractional coordinates of all 12 atoms:
Tm  0.0000  0.0000  0.2470
Tm  0.0000  0.0000  0.7530
Tm  0.3314  0.6686  0.2455
Tm  0.3314  0.6686  0.7545
Tm  0.6686  0.3314  0.2455
Tm  0.6686  0.3314  0.7545
Mg  0.1652  0.8348  0.0000
Mg  0.1720  0.8280  0.5000
Mg  0.5000  0.5000  0.0000
Mg  0.8280  0.1720  0.5000
Mg  0.8348  0.1652  0.0000
Pb  0.5000  0.5000  0.5000

Principal peaks in the range 15 to 90 degrees two-theta, in order of falling intensity:
2θ 33.89, rel. 100; 2θ 23.64, rel. 31; 2θ 33.62, rel. 26; 2θ 33.74, rel. 25; 2θ 60.45, rel. 19; 2θ 60.29, rel. 19; 2θ 60.78, rel. 19; 2θ 48.37, rel. 18



[8]
Starting from DFT lattice parameters and positions (PBE), the PXRD pattern of Tm4Mg5Pb6 was simulated for λ = 1.5418 Å (Cu Kα).
Lines closer than 0.1° are merged.

Cell and atoms:
a b c (Å): 10.7115 10.7115 16.5333
angles (deg): 90.00 90.00 154.66
Fractional coordinates of all 30 atoms:
Tm  0.0156  0.9844  0.5000
Tm  0.0325  0.9675  0.7701
Tm  0.1596  0.8404  0.2981
Tm  0.1718  0.8282  0.9395
Tm  0.8282  0.1718  0.4395
Tm  0.8404  0.1596  0.7981
Tm  0.9675  0.0325  0.2701
Tm  0.9844  0.0156  0.0000
Mg  0.1550  0.8450  0.6260
Mg  0.3028  0.6972  0.6164
Mg  0.3414  0.6586  0.2730
Mg  0.3458  0.6542  0.9865
Mg  0.4380  0.5620  0.6827
Mg  0.5620  0.4380  0.1827
Mg  0.6542  0.3458  0.4865
Mg  0.6586  0.3414  0.7730
Mg  0.6972  0.3028  0.1164
Mg  0.8450  0.1550  0.1260
Pb  0.1111  0.8889  0.1126
Pb  0.2308  0.7692  0.4681
Pb  0.2400  0.7600  0.7714
Pb  0.4268  0.5732  0.4195
Pb  0.4331  0.5669  0.1292
Pb  0.4371  0.5629  0.8554
Pb  0.5629  0.4371  0.3554
Pb  0.5669  0.4331  0.6292
Pb  0.5732  0.4268  0.9195
Pb  0.7600  0.2400  0.2714
Pb  0.7692  0.2308  0.9681
Pb  0.8889  0.1111  0.6126

Principal peaks in the range 15 to 90 degrees two-theta, in order of falling intensity:
2θ 32.97, rel. 100; 2θ 29.09, rel. 69; 2θ 38.32, rel. 51; 2θ 46.46, rel. 34; 2θ 61.74, rel. 33; 2θ 23.46, rel. 32; 2θ 44.88, rel. 31; 2θ 27.51, rel. 30



[9]
Starting from DFT lattice parameters and positions (PBE), the PXRD pattern of Tm2Mg2Pb was simulated for λ = 1.5418 Å (Cu Kα).
Lines closer than 0.1° are merged.

Cell and atoms:
a b c (Å): 12.3697 3.7589 6.1813
angles (deg): 90.00 97.51 90.00
Fractional coordinates of all 10 atoms:
Tm  0.1933  0.0000  0.2199
Tm  0.3067  0.5000  0.7801
Tm  0.6933  0.5000  0.2199
Tm  0.8067  0.0000  0.7801
Mg  0.0872  0.0000  0.6825
Mg  0.4128  0.5000  0.3175
Mg  0.5872  0.5000  0.6825
Mg  0.9128  0.0000  0.3175
Pb  0.0000  0.5000  0.0000
Pb  0.5000  0.0000  0.0000

Principal peaks in the range 15 to 90 degrees two-theta, in order of falling intensity:
2θ 34.37, rel. 100; 2θ 29.29, rel. 81; 2θ 32.36, rel. 68; 2θ 19.09, rel. 49; 2θ 30.87, rel. 47; 2θ 39.37, rel. 36; 2θ 50.74, rel. 23; 2θ 60.74, rel. 20



[10]
Starting from DFT lattice parameters and positions (PBE), the PXRD pattern of TmMg4Pb3 was simulated for λ = 1.5418 Å (Cu Kα).
Lines closer than 0.1° are merged.

Cell and atoms:
a b c (Å): 4.8851 6.4166 6.5789
angles (deg): 100.42 90.43 92.04
Fractional coordinates of all 8 atoms:
Tm  0.0000  0.0000  0.0000
Mg  0.4981  0.3023  0.2984
Mg  0.4978  0.8013  0.2850
Mg  0.5064  0.2824  0.7962
Mg  0.9854  0.5807  0.5653
Pb  0.0031  0.5090  0.0867
Pb  0.4908  0.7710  0.7730
Pb  0.9959  0.0930  0.5062

Principal peaks in the range 15 to 90 degrees two-theta, in order of falling intensity:
2θ 33.00, rel. 100; 2θ 33.45, rel. 94; 2θ 33.24, rel. 93; 2θ 36.82, rel. 88; 2θ 34.43, rel. 87; 2θ 21.38, rel. 74; 2θ 28.64, rel. 65; 2θ 18.17, rel. 65



[11]
Starting from DFT lattice parameters and positions (PBE), the PXRD pattern of Tm2MgPb3 was simulated for λ = 1.5418 Å (Cu Kα).
Lines closer than 0.1° are merged.

Cell and atoms:
a b c (Å): 4.4293 15.5023 4.6562
angles (deg): 90.00 90.00 90.00
Fractional coordinates of all 12 atoms:
Tm  0.0000  0.1557  0.0000
Tm  0.0000  0.8443  0.0000
Tm  0.5000  0.3443  0.0000
Tm  0.5000  0.6557  0.0000
Mg  0.0000  0.0000  0.5000
Mg  0.5000  0.5000  0.5000
Pb  0.0000  0.3316  0.5000
Pb  0.0000  0.5000  0.0000
Pb  0.0000  0.6684  0.5000
Pb  0.5000  0.0000  0.0000
Pb  0.5000  0.1684  0.5000
Pb  0.5000  0.8316  0.5000

Principal peaks in the range 15 to 90 degrees two-theta, in order of falling intensity:
2θ 32.85, rel. 100; 2θ 34.72, rel. 21; 2θ 38.68, rel. 16; 2θ 61.06, rel. 15; 2θ 40.74, rel. 14; 2θ 66.33, rel. 14; 2θ 52.94, rel. 13; 2θ 69.18, rel. 12



[12]
Starting from DFT lattice parameters and positions (PBE), the PXRD pattern of TmMg5Pb8 was simulated for λ = 1.5418 Å (Cu Kα).
Lines closer than 0.1° are merged.

Cell and atoms:
a b c (Å): 8.0480 8.0480 8.0480
angles (deg): 106.80 106.80 114.96
Fractional coordinates of all 14 atoms:
Tm  0.0000  0.0000  0.0000
Mg  0.0274  0.2752  0.5401
Mg  0.2500  0.7500  0.5000
Mg  0.5128  0.9726  0.2478
Mg  0.7248  0.2649  0.7522
Mg  0.7351  0.4872  0.4599
Pb  0.1126  0.6702  0.8567
Pb  0.3029  0.4955  0.1516
Pb  0.3298  0.1865  0.4424
Pb  0.3439  0.1513  0.8484
Pb  0.5045  0.6561  0.8074
Pb  0.7442  0.8874  0.5576
Pb  0.8135  0.2558  0.1433
Pb  0.8487  0.6971  0.1926

Principal peaks in the range 15 to 90 degrees two-theta, in order of falling intensity:
2θ 23.13, rel. 100; 2θ 29.78, rel. 81; 2θ 36.15, rel. 67; 2θ 32.41, rel. 64; 2θ 35.28, rel. 62; 2θ 27.76, rel. 52; 2θ 40.12, rel. 47; 2θ 37.57, rel. 34



[13]
Starting from DFT lattice parameters and positions (PBE), the PXRD pattern of Tm12MgPb7 was simulated for λ = 1.5418 Å (Cu Kα).
Lines closer than 0.1° are merged.

Cell and atoms:
a b c (Å): 9.2770 9.2770 9.2770
angles (deg): 110.04 110.04 110.04
Fractional coordinates of all 20 atoms:
Tm  0.0000  0.2783  0.7217
Tm  0.0000  0.7217  0.2783
Tm  0.1730  0.5074  0.5074
Tm  0.2783  0.0000  0.7217
Tm  0.2783  0.7217  0.0000
Tm  0.4926  0.4926  0.8270
Tm  0.4926  0.8270  0.4926
Tm  0.5074  0.1730  0.5074
Tm  0.5074  0.5074  0.1730
Tm  0.7217  0.0000  0.2783
Tm  0.7217  0.2783  0.0000
Tm  0.8270  0.4926  0.4926
Mg  0.0000  0.0000  0.0000
Pb  0.1315  0.1315  0.4404
Pb  0.1315  0.4404  0.1315
Pb  0.4404  0.1315  0.1315
Pb  0.5000  0.5000  0.5000
Pb  0.5596  0.8685  0.8685
Pb  0.8685  0.5596  0.8685
Pb  0.8685  0.8685  0.5596

Principal peaks in the range 15 to 90 degrees two-theta, in order of falling intensity:
2θ 31.53, rel. 100; 2θ 35.43, rel. 97; 2θ 36.24, rel. 97; 2θ 28.88, rel. 52; 2θ 64.13, rel. 33; 2θ 51.58, rel. 31; 2θ 52.74, rel. 30; 2θ 31.23, rel. 30